Diffraction record for Sr3Co2TeO9. The X-ray diffraction stick pattern is computed, not measured: it uses a PBE+U-relaxed structure and Cu Kα.
No peak broadening, texture or thermal motion is included.

Main lines, sorted by position (10° ≤ 2θ ≤ 90°):
| Position (°2θ) | I_rel |
| --- | --- |
| 31.7 | 21 |
| 31.9 | 100 |
| 45.6 | 28 |
| 45.9 | 14 |
| 56.5 | 16 |
| 56.8 | 22 |
| 57.0 | 7 |
| 66.6 | 20 |
| 75.5 | 6 |
| 76.0 | 7 |

Cell and atoms:
```
Sr3Co2TeO9
1.0
-2.826 3.956 8.420
2.826 -3.956 8.420
2.826 3.956 -8.420
Sr Co Te O
6 4 2 18
direct
0.084 0.338 0.746
0.245 0.000 0.245
0.408 0.662 0.746
0.592 0.338 0.254
0.755 0.000 0.755
0.916 0.662 0.254
0.000 0.500 0.500
0.157 0.157 0.000
0.500 0.500 0.000
0.843 0.843 0.000
0.331 0.831 0.500
0.669 0.169 0.500
0.083 0.335 0.252
0.083 0.832 0.748
0.087 0.832 0.255
0.250 0.507 0.257
0.250 0.994 0.743
0.263 0.500 0.763
0.412 0.154 0.742
0.412 0.671 0.258
0.422 0.168 0.255
0.578 0.832 0.745
0.588 0.329 0.742
0.588 0.846 0.258
0.737 0.500 0.237
0.750 0.006 0.257
0.750 0.493 0.743
0.913 0.168 0.745
0.917 0.168 0.252
0.917 0.665 0.748
```